1.
This entry pairs a crystal structure of Te2P2O9 with its theoretical powder diffraction line list. Radiation: Cu Kα, 1.54184 Å. Structure: a cell relaxed with PBE.
Kinematic intensities with the Lorentz-polarization factor, no thermal factor.

Unit cell a=5.4316 b=13.8732 c=9.7170 alpha=90.00 beta=103.37 gamma=90.00
Space group Cc (No. 9)
Symmetry-distinct sites (fractional):
Te: 0.0000 0.0310 0.0000 x4
Te: 0.2309 0.2898 0.2386 x4
P: 0.0343 0.3169 0.5356 x4
P: 0.4735 0.0968 0.4433 x4
O: 0.0165 0.2172 0.6060 x4
O: 0.0445 0.4068 0.1082 x4
O: 0.1687 0.4639 0.8858 x4
O: 0.2045 0.0540 0.3839 x4
O: 0.3046 0.3591 0.5924 x4
O: 0.3321 0.1166 0.0769 x4
O: 0.4516 0.3922 0.3293 x4
O: 0.4769 0.2033 0.3950 x4
O: 0.4847 0.1911 0.8714 x4

The 10 most intense peaks (5° ≤ 2θ ≤ 70°), low angle first:
hkl 0 2 1, 15.85°, rel. 21
hkl 1 1 -1, 18.38°, rel. 67
hkl 1 1 1, 22.03°, rel. 29
hkl 0 2 2, 22.77°, rel. 100
hkl 1 3 0, 25.61°, rel. 65
hkl 0 4 1, 27.39°, rel. 21
hkl 1 3 1, 28.65°, rel. 53
hkl 1 3 -2, 29.46°, rel. 33
hkl 2 0 -2, 34.86°, rel. 29
hkl 2 0 2, 42.89°, rel. 24

***

2.
This entry pairs a crystal structure of CuAgS with its theoretical powder diffraction line list. Radiation: Cu Kα, 1.54184 Å. Structure: a cell relaxed with PBE.
Kinematic intensities with the Lorentz-polarization factor, no thermal factor.

Unit cell a=4.0460 b=6.6842 c=8.2076 alpha=90.00 beta=90.00 gamma=90.00
Space group Cmc2_1 (No. 36)
Symmetry-distinct sites (fractional):
Cu: 0.0000 0.0607 0.0000 x4
Ag: 0.0000 0.4896 0.2440 x4
S: 0.0000 0.2916 0.4985 x4

The 10 most intense peaks (5° ≤ 2θ ≤ 70°), low angle first:
hkl 1 1 0, 25.74°, rel. 12
hkl 0 2 0, 26.67°, rel. 29
hkl 0 2 1, 28.84°, rel. 12
hkl 1 1 2, 33.88°, rel. 100
hkl 0 2 2, 34.61°, rel. 14
hkl 0 0 4, 44.14°, rel. 19
hkl 2 0 0, 44.80°, rel. 18
hkl 1 3 1, 47.91°, rel. 10
hkl 1 3 2, 51.87°, rel. 29
hkl 2 0 4, 64.71°, rel. 11

***

3.
This entry pairs a crystal structure of Rb5Pb6Cl16 with its theoretical powder diffraction line list. Radiation: Cu Kα, 1.54184 Å. Structure: a cell relaxed with PBE.
Kinematic intensities with the Lorentz-polarization factor, no thermal factor.

Unit cell a=12.1564 b=12.1564 c=10.8992 alpha=90.00 beta=90.00 gamma=90.00
Space group P4/mbm (No. 127)
Symmetry-distinct sites (fractional):
Rb: 0.0000 0.0000 0.0000 x2
Rb: 0.1196 0.3804 0.0000 x4
Rb: 0.1353 0.3647 0.5000 x4
Pb: 0.0000 0.0000 0.3495 x4
Pb: 0.1781 0.6781 0.2660 x8
Cl: 0.0000 0.5000 0.2795 x4
Cl: 0.0850 0.2005 0.2206 x16
Cl: 0.0916 0.7865 0.5000 x8
Cl: 0.1581 0.6581 0.0000 x4

The 10 most intense peaks (5° ≤ 2θ ≤ 70°), low angle first:
hkl 0 0 2, 16.29°, rel. 32
hkl 2 2 0, 20.67°, rel. 23
hkl 3 1 0, 23.12°, rel. 100
hkl 4 1 0, 30.32°, rel. 25
hkl 0 0 4, 32.92°, rel. 33
hkl 3 1 3, 33.96°, rel. 25
hkl 4 1 2, 34.58°, rel. 50
hkl 5 3 0, 43.40°, rel. 23
hkl 4 1 4, 45.33°, rel. 16
hkl 3 3 4, 45.96°, rel. 17

***

4.
This entry pairs a crystal structure of Mn3Ga2N4 with its theoretical powder diffraction line list. Radiation: Cu Kα, 1.54184 Å. Structure: a cell relaxed with PBE.
Kinematic intensities with the Lorentz-polarization factor, no thermal factor.

Unit cell a=11.7882 b=6.5907 c=5.1945 alpha=90.00 beta=106.14 gamma=90.00
Space group C2/c (No. 15)
Symmetry-distinct sites (fractional):
Mn: 0.0000 0.0666 0.2500 x4
Mn: 0.0790 0.3914 0.1319 x8
Ga: 0.1992 0.1360 0.7343 x8
N: 0.0947 0.3467 0.4995 x8
N: 0.1050 0.1112 0.0129 x8

The 10 most intense peaks (5° ≤ 2θ ≤ 70°), low angle first:
hkl 0 2 1, 32.56°, rel. 100
hkl 2 2 -1, 33.99°, rel. 49
hkl 2 0 -2, 35.04°, rel. 43
hkl 0 0 2, 36.00°, rel. 28
hkl 3 1 1, 36.26°, rel. 61
hkl 5 1 -1, 41.27°, rel. 37
hkl 5 1 0, 42.19°, rel. 65
hkl 5 1 -2, 48.18°, rel. 43
hkl 3 3 1, 54.02°, rel. 29
hkl 2 2 -3, 60.40°, rel. 49

***

5.
This entry pairs a crystal structure of Li8PbO6 with its theoretical powder diffraction line list. Radiation: Cu Kα, 1.54184 Å. Structure: a cell relaxed with PBE.
Kinematic intensities with the Lorentz-polarization factor, no thermal factor.

Unit cell a=5.6077 b=5.6077 c=15.8633 alpha=90.00 beta=90.00 gamma=120.00
Space group R-3 (No. 148, hexagonal axes)
Symmetry-distinct sites (fractional):
Li: 0.0000 0.0000 0.1543 x6
Li: 0.0175 0.3151 0.7123 x18
Pb: 0.0000 0.0000 0.5000 x3
O: 0.0089 0.3548 0.2505 x18

The 10 most intense peaks (5° ≤ 2θ ≤ 70°), low angle first:
hkl 0 0 3, 16.77°, rel. 41
hkl 1 0 1, 19.11°, rel. 100
hkl 0 1 2, 21.45°, rel. 80
hkl 1 0 4, 29.07°, rel. 34
hkl 0 1 5, 33.75°, rel. 26
hkl 2 -1 3, 36.26°, rel. 57
hkl 0 2 1, 37.47°, rel. 18
hkl 2 -1 6, 47.25°, rel. 34
hkl 3 -1 1, 50.02°, rel. 17
hkl 3 -2 2, 51.07°, rel. 16

***

6.
This entry pairs a crystal structure of Th2Cu with its theoretical powder diffraction line list. Radiation: Cu Kα, 1.54184 Å. Structure: a cell relaxed with PBE.
Kinematic intensities with the Lorentz-polarization factor, no thermal factor.

Unit cell a=7.2730 b=7.2730 c=5.7800 alpha=90.00 beta=90.00 gamma=90.00
Space group I4/mcm (No. 140)
Symmetry-distinct sites (fractional):
Th: 0.1607 0.3393 0.0000 x8
Cu: 0.0000 0.0000 0.2500 x4

The 10 most intense peaks (5° ≤ 2θ ≤ 70°), low angle first:
hkl 0 0 2, 30.94°, rel. 16
hkl 2 1 1, 31.56°, rel. 100
hkl 1 1 2, 35.64°, rel. 12
hkl 3 1 0, 39.17°, rel. 23
hkl 2 0 2, 39.84°, rel. 16
hkl 3 3 0, 53.45°, rel. 7
hkl 4 1 1, 54.38°, rel. 17
hkl 2 1 3, 55.43°, rel. 21
hkl 4 0 2, 60.12°, rel. 8
hkl 3 3 2, 63.05°, rel. 16